Record 1
This entry pairs a crystal structure of LiCdCuGe with its computed XRD peak list. Radiation: copper Kα. Structure: a structure optimized by DFT (PBE).
Kinematic intensities with the Lorentz-polarization factor, no thermal factor.

The 10 most intense peaks (10° ≤ 2θ ≤ 90°), in order of falling intensity:
- 40.33°, I 100, (2 2 0)
- 73.31°, I 32, (4 2 2)
- 28.21°, I 25, (2 0 0)
- 24.37°, I 21, (1 1 1)
- 58.35°, I 16, (4 0 0)
- 87.16°, I 10, (4 4 0)
- 47.68°, I 10, (3 1 1)
- 66.05°, I 9, (4 2 0)
- 49.94°, I 7, (2 2 2)
- 64.17°, I 4, (3 3 1)

Structure:
```
data_LiCdCuGe
_chemical_formula_sum 'Li4 Cd4 Cu4 Ge4'
_cell_length_a 6.326
_cell_length_b 6.326
_cell_length_c 6.326
_cell_angle_alpha 90.00
_cell_angle_beta 90.00
_cell_angle_gamma 90.00
_space_group_name_H-M_alt 'F -4 3 m'
_space_group_IT_number 216
_space_group_name_Hall 'F -4 2 3'
loop_
_atom_site_label
_atom_site_type_symbol
_atom_site_fract_x
_atom_site_fract_y
_atom_site_fract_z
Li1 Li 0.000 0.000 0.000
Cd1 Cd 0.250 0.250 0.250
Cu1 Cu 0.000 0.000 0.500
Ge1 Ge 0.250 0.250 0.750
```


Record 2
This entry pairs a crystal structure of Ta6Ga5 with its computed XRD peak list. Radiation: copper Kα. Structure: a structure optimized by DFT (PBE).
Kinematic intensities with the Lorentz-polarization factor, no thermal factor.

The 10 most intense peaks (10° ≤ 2θ ≤ 90°), in order of falling intensity:
- 40.37°, I 100, (2 2 0)
- 73.42°, I 21, (6 0 0)
- 34.78°, I 21, (3 0 0)
- 58.42°, I 14, (4 0 2)
- 19.87°, I 12, (1 1 0)
- 82.66°, I 12, (2 2 4)
- 28.24°, I 8, (2 0 1)
- 38.59°, I 8, (3 0 1)
- 62.34°, I 7, (5 0 1)
- 22.99°, I 6, (2 0 0)

Structure:
```
data_Ta6Ga5
_chemical_formula_sum 'Ta12 Ga10'
_cell_length_a 8.9332
_cell_length_b 8.9332
_cell_length_c 5.4773
_cell_angle_alpha 90.00
_cell_angle_beta 90.00
_cell_angle_gamma 120.00
_space_group_name_H-M_alt 'P 63/m m c'
_space_group_IT_number 194
_space_group_name_Hall '-P 6c 2c'
loop_
_atom_site_label
_atom_site_type_symbol
_atom_site_fract_x
_atom_site_fract_y
_atom_site_fract_z
Ta1 Ta 0.0000 0.5000 0.0000
Ta2 Ta 0.1530 0.3059 0.2500
Ga1 Ga 0.0000 0.0000 0.0000
Ga2 Ga 0.2052 0.4104 0.7500
Ga3 Ga 0.3333 0.6667 0.2500
```


Record 3
This entry pairs a crystal structure of PrSmINCl2 with its computed XRD peak list. Radiation: copper Kα. Structure: a structure optimized by DFT (PBE).
Kinematic intensities with the Lorentz-polarization factor, no thermal factor.

The 10 most intense peaks (10° ≤ 2θ ≤ 90°), in order of falling intensity:
- 10.98°, I 100, (2 0 -1)
- 27.00°, I 76, (1 1 -2)
- 34.74°, I 63, (5 1 -2)
- 30.76°, I 58, (1 1 2)
- 24.29°, I 51, (4 0 0)
- 44.31°, I 48, (0 2 0)
- 32.26°, I 47, (4 0 -4)
- 25.40°, I 42, (1 1 1)
- 33.25°, I 38, (6 0 -1)
- 28.55°, I 27, (3 1 -2)

Structure:
```
data_PrSmINCl2
_chemical_formula_sum 'Pr4 Sm4 I4 N4 Cl8'
_cell_length_a 16.765
_cell_length_b 4.087
_cell_length_c 11.366
_cell_angle_alpha 90.00
_cell_angle_beta 119.04
_cell_angle_gamma 90.00
_space_group_name_H-M_alt 'C 1 2/m 1'
_space_group_IT_number 12
_space_group_name_Hall '-C 2y'
loop_
_atom_site_label
_atom_site_type_symbol
_atom_site_fract_x
_atom_site_fract_y
_atom_site_fract_z
Pr1 Pr 0.132 0.000 0.277
Sm1 Sm 0.085 0.500 0.955
I1 I 0.148 0.500 0.521
N1 N 0.072 0.500 0.147
Cl1 Cl 0.053 0.000 0.768
Cl2 Cl 0.214 0.000 0.101
```